# Na2VF6
Calculated powder diffraction line list, Cu Kα, 1.54184 Å. Input: a GGA+U-relaxed structure.
No peak broadening, texture or thermal motion is included.

Most intense lines, 10° ≤ 2θ ≤ 90°, in order of rising 2θ:
2θ/deg  I_rel  (hkl)
17.66  27  0 0 2
19.73  59  1 0 1
25.02  100  1 1 0
32.11  37  1 0 3
36.86  49  1 1 3
40.06  14  2 1 0
48.75  65  2 1 3
51.35  29  2 2 0
54.75  10  2 2 2
54.86  11  0 0 6
61.20  12  1 1 6
61.87  30  3 0 3

Structure:
```
18
Lattice="5.0330 0.0000 0.0000 0.0000 5.0330 0.0000 0.0000 0.0000 10.0417" Properties=species:S:1:pos:R:3 pbc="T T T"
Na 0.0000 0.0000 1.6696
Na 0.0000 0.0000 8.3721
Na 2.5165 2.5165 3.3512
Na 2.5165 2.5165 6.6905
V 0.0000 0.0000 5.0209
V 2.5165 2.5165 0.0000
F 0.9182 0.9182 3.6290
F 0.9182 0.9182 6.4127
F 1.2061 1.2061 0.0000
F 1.3104 3.7226 5.0209
F 1.5983 3.4347 1.3919
F 1.5983 3.4347 8.6498
F 3.4347 1.5983 1.3919
F 3.4347 1.5983 8.6498
F 3.7226 1.3104 5.0209
F 3.8269 3.8269 0.0000
F 4.1148 4.1148 3.6290
F 4.1148 4.1148 6.4127
```